Structure and computed X-ray powder pattern of Ba2MgGa12Cu3 (a cell relaxed with GGA-PBE; Cu Kα (weighted mean of Kα1 and Kα2)).
Kinematic intensities with the Lorentz-polarization factor, no thermal factor.

Main lines, sorted by position (2θ = 10–80°):
| two_theta | I (rel.) |
| --- | --- |
| 25.69 | 53.0 |
| 28.39 | 100.0 |
| 31.39 | 43.1 |
| 33.28 | 50.3 |
| 33.44 | 88.1 |
| 35.98 | 73.2 |
| 39.36 | 65.0 |
| 42.18 | 55.1 |
| 50.28 | 45.2 |
| 55.62 | 58.4 |

Structural model:
```
data_Ba2MgGa12Cu3
_chemical_formula_sum 'Ba2 Mg1 Ga12 Cu3'
_symmetry_space_group_name_H-M 'P 1'
_symmetry_Int_Tables_number 1
_cell_length_a 10.862
_cell_length_b 10.862
_cell_length_c 10.862
_cell_angle_alpha 35.43
_cell_angle_beta 35.43
_cell_angle_gamma 35.43
loop_
_symmetry_equiv_pos_as_xyz
'x,y,z'
loop_
_atom_site_label
_atom_site_type_symbol
_atom_site_fract_x
_atom_site_fract_y
_atom_site_fract_z
Ba1 Ba 0.145 0.145 0.145
Ba2 Ba 0.855 0.855 0.855
Mg1 Mg 0.500 0.500 0.500
Ga1 Ga 0.095 0.095 0.683
Ga2 Ga 0.095 0.683 0.095
Ga3 Ga 0.138 0.567 0.567
Ga4 Ga 0.317 0.905 0.905
Ga5 Ga 0.433 0.433 0.862
Ga6 Ga 0.433 0.862 0.433
Ga7 Ga 0.567 0.138 0.567
Ga8 Ga 0.567 0.567 0.138
Ga9 Ga 0.683 0.095 0.095
Ga10 Ga 0.862 0.433 0.433
Ga11 Ga 0.905 0.317 0.905
Ga12 Ga 0.905 0.905 0.317
Cu1 Cu 0.000 0.500 0.500
Cu2 Cu 0.500 0.000 0.500
Cu3 Cu 0.500 0.500 0.000
```

=====

Structure and computed X-ray powder pattern of CaLa2Cd2 (a cell relaxed with GGA-PBE; Cu Kα (weighted mean of Kα1 and Kα2)).
Kinematic intensities with the Lorentz-polarization factor, no thermal factor.

Main lines, sorted by position (2θ = 10–80°):
| two_theta | I (rel.) |
| --- | --- |
| 16.92 | 9.4 |
| 29.86 | 21.7 |
| 31.99 | 29.1 |
| 32.48 | 100.0 |
| 33.97 | 11.6 |
| 44.32 | 15.1 |
| 48.77 | 8.8 |
| 57.33 | 19.0 |
| 58.26 | 8.6 |
| 59.52 | 10.4 |

Structural model:
```
data_CaLa2Cd2
_chemical_formula_sum 'Ca2 La4 Cd4'
_symmetry_space_group_name_H-M 'P 1'
_symmetry_Int_Tables_number 1
_cell_length_a 3.735
_cell_length_b 5.595
_cell_length_c 15.079
_cell_angle_alpha 90.00
_cell_angle_beta 97.12
_cell_angle_gamma 90.00
loop_
_symmetry_equiv_pos_as_xyz
'x,y,z'
loop_
_atom_site_label
_atom_site_type_symbol
_atom_site_fract_x
_atom_site_fract_y
_atom_site_fract_z
Ca1 Ca 0.147 0.250 0.293
Ca2 Ca 0.853 0.750 0.707
La1 La 0.045 0.750 0.090
La2 La 0.232 0.750 0.465
La3 La 0.768 0.250 0.535
La4 La 0.955 0.250 0.910
Cd1 Cd 0.361 0.250 0.723
Cd2 Cd 0.445 0.750 0.891
Cd3 Cd 0.555 0.250 0.109
Cd4 Cd 0.639 0.750 0.277
```

=====

Structure and computed X-ray powder pattern of SnBAu (a cell relaxed with GGA-PBE; Cu Kα (weighted mean of Kα1 and Kα2)).
Kinematic intensities with the Lorentz-polarization factor, no thermal factor.

Main lines, sorted by position (2θ = 10–80°):
| two_theta | I (rel.) |
| --- | --- |
| 15.99 | 48.8 |
| 16.24 | 52.8 |
| 28.15 | 100.0 |
| 32.33 | 90.3 |
| 32.65 | 70.8 |
| 39.65 | 46.0 |
| 40.12 | 40.0 |
| 43.02 | 36.9 |
| 43.50 | 43.4 |
| 43.79 | 64.6 |

Structural model:
```
data_SnBAu
_chemical_formula_sum 'Sn2 B2 Au2'
_symmetry_space_group_name_H-M 'P 1'
_symmetry_Int_Tables_number 1
_cell_length_a 3.179
_cell_length_b 6.333
_cell_length_c 6.338
_cell_angle_alpha 119.02
_cell_angle_beta 90.12
_cell_angle_gamma 90.53
loop_
_symmetry_equiv_pos_as_xyz
'x,y,z'
loop_
_atom_site_label
_atom_site_type_symbol
_atom_site_fract_x
_atom_site_fract_y
_atom_site_fract_z
Sn1 Sn 0.000 0.000 0.000
Sn2 Sn 0.026 0.337 0.662
B1 B 0.472 0.638 0.503
B2 B 0.973 0.680 0.586
Au1 Au 0.065 0.850 0.331
Au2 Au 0.517 0.405 0.080
```

=====

Structure and computed X-ray powder pattern of PmYZnRu (a cell relaxed with GGA-PBE; Cu Kα (weighted mean of Kα1 and Kα2)).
Kinematic intensities with the Lorentz-polarization factor, no thermal factor.

Main lines, sorted by position (2θ = 10–80°):
| two_theta | I (rel.) |
| --- | --- |
| 31.51 | 100.0 |
| 33.75 | 61.2 |
| 39.75 | 91.4 |
| 41.46 | 29.3 |
| 45.37 | 22.6 |
| 54.48 | 30.8 |
| 61.84 | 15.6 |
| 63.13 | 16.5 |
| 65.71 | 15.0 |
| 74.47 | 13.8 |

Structural model:
```
data_PmYZnRu
_chemical_formula_sum 'Pm2 Y2 Zn2 Ru2'
_symmetry_space_group_name_H-M 'P 1'
_symmetry_Int_Tables_number 1
_cell_length_a 4.356
_cell_length_b 3.998
_cell_length_c 10.641
_cell_angle_alpha 90.00
_cell_angle_beta 90.00
_cell_angle_gamma 90.00
loop_
_symmetry_equiv_pos_as_xyz
'x,y,z'
loop_
_atom_site_label
_atom_site_type_symbol
_atom_site_fract_x
_atom_site_fract_y
_atom_site_fract_z
Pm1 Pm 0.000 0.000 0.000
Pm2 Pm 0.000 0.500 0.500
Y1 Y 0.500 0.000 0.282
Y2 Y 0.500 0.500 0.782
Zn1 Zn 0.500 0.000 0.576
Zn2 Zn 0.500 0.500 0.076
Ru1 Ru 0.000 0.000 0.718
Ru2 Ru 0.000 0.500 0.218
```

=====

Structure and computed X-ray powder pattern of Pb7W (a cell relaxed with GGA-PBE; Cu Kα (weighted mean of Kα1 and Kα2)).
Kinematic intensities with the Lorentz-polarization factor, no thermal factor.

Main lines, sorted by position (2θ = 10–80°):
| two_theta | I (rel.) |
| --- | --- |
| 31.87 | 100.0 |
| 36.97 | 50.9 |
| 53.28 | 36.4 |
| 63.44 | 43.5 |
| 66.61 | 12.6 |
| 78.70 | 6.0 |

Structural model:
```
data_Pb7W
_chemical_formula_sum 'Pb7 W1'
_symmetry_space_group_name_H-M 'P 1'
_symmetry_Int_Tables_number 1
_cell_length_a 6.878
_cell_length_b 6.878
_cell_length_c 6.878
_cell_angle_alpha 60.00
_cell_angle_beta 60.00
_cell_angle_gamma 60.00
loop_
_symmetry_equiv_pos_as_xyz
'x,y,z'
loop_
_atom_site_label
_atom_site_type_symbol
_atom_site_fract_x
_atom_site_fract_y
_atom_site_fract_z
Pb1 Pb 0.000 0.000 0.000
Pb2 Pb 0.000 0.000 0.500
Pb3 Pb 0.000 0.500 0.000
Pb4 Pb 0.000 0.500 0.500
Pb5 Pb 0.500 0.000 0.000
Pb6 Pb 0.500 0.000 0.500
Pb7 Pb 0.500 0.500 0.000
W1 W 0.500 0.500 0.500
```

=====

Structure and computed X-ray powder pattern of Ho8Ir3Pt2 (a cell relaxed with GGA-PBE; Cu Kα (weighted mean of Kα1 and Kα2)).
Kinematic intensities with the Lorentz-polarization factor, no thermal factor.

Main lines, sorted by position (2θ = 10–80°):
| two_theta | I (rel.) |
| --- | --- |
| 22.49 | 15.6 |
| 22.63 | 15.2 |
| 37.18 | 100.0 |
| 37.25 | 66.3 |
| 37.48 | 32.7 |
| 53.79 | 23.3 |
| 66.96 | 24.0 |
| 67.04 | 12.0 |
| 67.46 | 23.6 |
| 79.34 | 14.9 |

Structural model:
```
data_Ho8Ir3Pt2
_chemical_formula_sum 'Ho8 Ir3 Pt2'
_symmetry_space_group_name_H-M 'P 1'
_symmetry_Int_Tables_number 1
_cell_length_a 8.380
_cell_length_b 4.799
_cell_length_c 8.391
_cell_angle_alpha 90.00
_cell_angle_beta 109.46
_cell_angle_gamma 90.00
loop_
_symmetry_equiv_pos_as_xyz
'x,y,z'
loop_
_atom_site_label
_atom_site_type_symbol
_atom_site_fract_x
_atom_site_fract_y
_atom_site_fract_z
Ho1 Ho 0.121 0.000 0.379
Ho2 Ho 0.129 0.500 0.872
Ho3 Ho 0.373 0.500 0.629
Ho4 Ho 0.376 0.000 0.123
Ho5 Ho 0.624 0.000 0.877
Ho6 Ho 0.627 0.500 0.371
Ho7 Ho 0.871 0.500 0.128
Ho8 Ho 0.879 0.000 0.621
Ir1 Ir 0.249 0.000 0.749
Ir2 Ir 0.500 0.500 0.000
Ir3 Ir 0.751 0.000 0.251
Pt1 Pt 0.248 0.500 0.252
Pt2 Pt 0.752 0.500 0.748
```

=====

Structure and computed X-ray powder pattern of Tb4CuRh (a cell relaxed with GGA-PBE; Cu Kα (weighted mean of Kα1 and Kα2)).
Kinematic intensities with the Lorentz-polarization factor, no thermal factor.

Main lines, sorted by position (2θ = 10–80°):
| two_theta | I (rel.) |
| --- | --- |
| 29.14 | 33.5 |
| 32.84 | 45.6 |
| 34.90 | 100.0 |
| 38.10 | 37.5 |
| 52.62 | 10.3 |
| 56.37 | 10.2 |
| 58.63 | 41.7 |
| 59.97 | 15.0 |
| 70.08 | 14.2 |
| 73.30 | 11.6 |

Structural model:
```
data_Tb4CuRh
_chemical_formula_sum 'Tb16 Cu4 Rh4'
_symmetry_space_group_name_H-M 'P 1'
_symmetry_Int_Tables_number 1
_cell_length_a 9.447
_cell_length_b 9.447
_cell_length_c 9.447
_cell_angle_alpha 60.00
_cell_angle_beta 60.00
_cell_angle_gamma 60.00
loop_
_symmetry_equiv_pos_as_xyz
'x,y,z'
loop_
_atom_site_label
_atom_site_type_symbol
_atom_site_fract_x
_atom_site_fract_y
_atom_site_fract_z
Tb1 Tb 0.061 0.061 0.439
Tb2 Tb 0.061 0.439 0.061
Tb3 Tb 0.061 0.439 0.439
Tb4 Tb 0.173 0.609 0.609
Tb5 Tb 0.186 0.186 0.814
Tb6 Tb 0.186 0.814 0.186
Tb7 Tb 0.186 0.814 0.814
Tb8 Tb 0.439 0.061 0.061
Tb9 Tb 0.439 0.061 0.439
Tb10 Tb 0.439 0.439 0.061
Tb11 Tb 0.609 0.173 0.609
Tb12 Tb 0.609 0.609 0.173
Tb13 Tb 0.609 0.609 0.609
Tb14 Tb 0.814 0.186 0.186
Tb15 Tb 0.814 0.186 0.814
Tb16 Tb 0.814 0.814 0.186
Cu1 Cu 0.496 0.835 0.835
Cu2 Cu 0.835 0.496 0.835
Cu3 Cu 0.835 0.835 0.496
Cu4 Cu 0.835 0.835 0.835
Rh1 Rh 0.395 0.395 0.395
Rh2 Rh 0.395 0.395 0.815
Rh3 Rh 0.395 0.815 0.395
Rh4 Rh 0.815 0.395 0.395
```

=====

Structure and computed X-ray powder pattern of Ce5TmTl6 (a cell relaxed with GGA-PBE; Cu Kα (weighted mean of Kα1 and Kα2)).
Kinematic intensities with the Lorentz-polarization factor, no thermal factor.

Main lines, sorted by position (2θ = 10–80°):
| two_theta | I (rel.) |
| --- | --- |
| 25.45 | 2.3 |
| 32.14 | 100.0 |
| 36.30 | 36.1 |
| 39.18 | 14.6 |
| 52.27 | 12.7 |
| 54.47 | 22.4 |
| 62.70 | 29.2 |
| 66.61 | 12.1 |
| 67.23 | 11.8 |
| 77.07 | 4.0 |

Structural model:
```
data_Ce5TmTl6
_chemical_formula_sum 'Ce5 Tm1 Tl6'
_symmetry_space_group_name_H-M 'P 1'
_symmetry_Int_Tables_number 1
_cell_length_a 9.080
_cell_length_b 9.080
_cell_length_c 9.080
_cell_angle_alpha 148.38
_cell_angle_beta 119.15
_cell_angle_gamma 70.21
loop_
_symmetry_equiv_pos_as_xyz
'x,y,z'
loop_
_atom_site_label
_atom_site_type_symbol
_atom_site_fract_x
_atom_site_fract_y
_atom_site_fract_z
Ce1 Ce 0.000 0.000 0.000
Ce2 Ce 0.164 0.664 0.500
Ce3 Ce 0.325 0.325 0.000
Ce4 Ce 0.675 0.675 0.000
Ce5 Ce 0.836 0.336 0.500
Tm1 Tm 0.500 0.000 0.500
Tl1 Tl 0.092 0.837 0.255
Tl2 Tl 0.258 0.500 0.758
Tl3 Tl 0.418 0.163 0.255
Tl4 Tl 0.582 0.837 0.745
Tl5 Tl 0.742 0.500 0.242
Tl6 Tl 0.908 0.163 0.745
```